Entry 1:
This entry pairs a crystal structure of AcPmTeIr with its computed powder diffraction line list. Radiation: Cu Ka. Structure: DFT lattice parameters and positions (GGA-PBE).
Peak positions follow from Bragg's law for the DFT cell and can differ from measured ones.

Structure:
```
AcPmTeIr
1.0
4.312 0.000 0.000
-2.156 3.734 0.000
0.000 0.000 23.404
Ac Pm Te Ir
3 3 3 3
Direct
0.000 0.000 0.000 Ac
0.333 0.667 0.667 Ac
0.667 0.333 0.333 Ac
0.000 0.000 0.195 Pm
0.333 0.667 0.862 Pm
0.667 0.333 0.529 Pm
0.000 0.000 0.771 Te
0.333 0.667 0.438 Te
0.667 0.333 0.104 Te
0.000 0.000 0.594 Ir
0.333 0.667 0.261 Ir
0.667 0.333 0.928 Ir
```

Main lines, low angle first (2θ from 10° to 90°):
2θ (°), I_rel
11.34, 22
25.03, 23
28.35, 15
30.63, 100
36.06, 21
41.90, 48
45.75, 25
52.78, 22
64.42, 13
69.57, 19

=====

Entry 2:
This entry pairs a crystal structure of Sc5Sb4H with its computed powder diffraction line list. Radiation: Cu Ka. Structure: DFT lattice parameters and positions (GGA-PBE).
Peak positions follow from Bragg's law for the DFT cell and can differ from measured ones.

Structure:
```
Sc5Sb4H
1.0
-4.549 4.549 2.920
4.549 -4.549 2.920
4.549 4.549 -2.920
Sc Sb H
5 4 1
Direct
0.000 0.000 0.000 Sc
0.100 0.298 0.599 Sc
0.298 0.699 0.198 Sc
0.501 0.100 0.802 Sc
0.699 0.501 0.401 Sc
0.197 0.999 0.395 Sb
0.603 0.802 0.605 Sb
0.802 0.197 0.199 Sb
0.999 0.603 0.801 Sb
0.355 0.355 0.000 H
```

Main lines, low angle first (2θ from 10° to 90°):
2θ (°), I_rel
13.76, 17
18.05, 21
26.70, 46
30.62, 46
31.08, 100
44.19, 69
44.54, 35
52.69, 15
55.01, 34
81.80, 20

=====

Entry 3:
This entry pairs a crystal structure of K6ZnSe4 with its computed powder diffraction line list. Radiation: Cu Ka. Structure: DFT lattice parameters and positions (GGA-PBE).
Peak positions follow from Bragg's law for the DFT cell and can differ from measured ones.

Structure:
```
K6ZnSe4
1.0
10.286 0.000 0.000
-5.143 8.908 0.000
0.000 0.000 7.965
K Zn Se
12 2 8
Direct
0.053 0.527 0.000 K
0.148 0.295 0.680 K
0.148 0.852 0.680 K
0.295 0.148 0.180 K
0.473 0.527 0.000 K
0.473 0.947 0.000 K
0.527 0.053 0.500 K
0.527 0.473 0.500 K
0.705 0.852 0.680 K
0.852 0.148 0.180 K
0.852 0.705 0.180 K
0.947 0.473 0.500 K
0.333 0.667 0.383 Zn
0.667 0.333 0.883 Zn
0.196 0.393 0.285 Se
0.196 0.804 0.285 Se
0.333 0.667 0.706 Se
0.393 0.196 0.785 Se
0.607 0.804 0.285 Se
0.667 0.333 0.206 Se
0.804 0.196 0.785 Se
0.804 0.607 0.785 Se
```

Main lines, low angle first (2θ from 10° to 90°):
2θ (°), I_rel
14.92, 41
19.93, 24
22.88, 23
28.79, 54
30.10, 78
32.17, 42
34.89, 100
35.27, 27
39.52, 28
56.85, 24

=====

Entry 4:
This entry pairs a crystal structure of NdMgSe with its computed powder diffraction line list. Radiation: Cu Ka. Structure: DFT lattice parameters and positions (GGA-PBE).
Peak positions follow from Bragg's law for the DFT cell and can differ from measured ones.

Structure:
```
NdMgSe
1.0
2.519 1.454 7.931
-2.519 1.454 7.931
0.000 -2.908 7.931
Nd Mg Se
2 2 2
Direct
0.087 0.087 0.087 Nd
0.913 0.913 0.913 Nd
0.329 0.329 0.329 Mg
0.671 0.671 0.671 Mg
0.216 0.216 0.216 Se
0.784 0.784 0.784 Se
```

Main lines, low angle first (2θ from 10° to 90°):
2θ (°), I_rel
20.70, 100
22.42, 33
27.74, 18
33.42, 74
35.65, 96
42.52, 37
49.66, 24
50.02, 19
62.62, 24
64.04, 17